Structure and calculated powder diffraction line list of La8TlOs3I4 (a structure optimized by DFT (PBE); a wavelength of 1.5418 Å).
Peak positions follow from Bragg's law for the DFT cell and can differ from measured ones.

Crystal structure
```
data_La8TlOs3I4
_cell_length_a 9.612
_cell_length_b 9.612
_cell_length_c 9.612
_cell_angle_alpha 53.93
_cell_angle_beta 53.93
_cell_angle_gamma 53.93
_space_group_name_H-M_alt 'P 1'
_space_group_IT_number 1
loop_
_space_group_symop_operation_xyz
'x,y,z'
loop_
_atom_site_label
_atom_site_type_symbol
_atom_site_fract_x
_atom_site_fract_y
_atom_site_fract_z
_atom_site_occupancy
La1 La 0.199 0.743 0.743 1
La2 La 0.230 0.230 0.230 1
La3 La 0.257 0.257 0.801 1
La4 La 0.257 0.801 0.257 1
La5 La 0.743 0.199 0.743 1
La6 La 0.743 0.743 0.199 1
La7 La 0.770 0.770 0.770 1
La8 La 0.801 0.257 0.257 1
Tl1 Tl 0.500 0.500 0.500 1
Os1 Os 0.000 0.000 0.500 1
Os2 Os 0.000 0.500 0.000 1
Os3 Os 0.500 0.000 0.000 1
I1 I 0.000 0.000 0.000 1
I2 I 0.000 0.500 0.500 1
I3 I 0.500 0.000 0.500 1
I4 I 0.500 0.500 0.000 1
```

Peak list (10 most intense, 10° ≤ 2θ ≤ 80°, in order of falling intensity)
2θ/deg, I/Imax
27.7, 100
41.4, 37
37.8, 30
10.8, 27
50.6, 18
34.9, 14
67.4, 14
47.3, 9
57.3, 8
73.1, 8